(1)
Theoretical powder XRD pattern of Li2NdPd3 for Cu Ka, from a structure optimized by DFT (GGA-PBE).
Lines closer than 0.1° are merged.

Most intense lines, 2θ from 10° to 80°, in order of rising 2θ:
23.06 deg, rel. 26; 24.19 deg, rel. 43; 37.43 deg, rel. 100; 40.51 deg, rel. 70; 56.33 deg, rel. 30; 71.66 deg, rel. 29; 73.67 deg, rel. 15; 75.14 deg, rel. 20

Crystal structure
a b c (Å): 4.4536 4.4536 12.2878
angles (deg): 90.00 90.00 120.00
Space group P6_3/mmc (No. 194)
Symmetry-distinct sites (fractional):
Li1 0.3333 0.6667 0.0749 [4 per cell]
Nd1 0.0000 0.0000 0.2500 [2 per cell]
Pd1 0.0000 0.0000 0.0000 [2 per cell]
Pd2 0.3333 0.6667 0.6310 [4 per cell]

***

(2)
Theoretical powder XRD pattern of Li5CaTl6 for Cu Ka, from a structure optimized by DFT (GGA-PBE).
Lines closer than 0.1° are merged.

Most intense lines, 2θ from 10° to 80°, in order of rising 2θ:
23.72 deg, rel. 54; 25.60 deg, rel. 97; 35.18 deg, rel. 100; 36.45 deg, rel. 29; 36.58 deg, rel. 25; 43.95 deg, rel. 21; 44.06 deg, rel. 22; 52.60 deg, rel. 20

Crystal structure
a b c (Å): 4.913 7.503 14.789
angles (deg): 90.00 90.00 90.00
Space group Immm (No. 71)
Symmetry-distinct sites (fractional):
Li1 0.000 0.000 0.000 [2 per cell]
Li2 0.000 0.000 0.337 [4 per cell]
Li3 0.000 0.500 0.325 [4 per cell]
Ca1 0.000 0.500 0.000 [2 per cell]
Tl1 0.000 0.232 0.173 [8 per cell]
Tl2 0.000 0.281 0.500 [4 per cell]

***

(3)
Theoretical powder XRD pattern of LiSn2P3O10 for Cu Ka, from a structure optimized by DFT (GGA-PBE).
Lines closer than 0.1° are merged.

Most intense lines, 2θ from 10° to 80°, in order of rising 2θ:
18.36 deg, rel. 35; 19.46 deg, rel. 100; 20.28 deg, rel. 23; 24.48 deg, rel. 23; 27.02 deg, rel. 39; 29.16 deg, rel. 26; 31.81 deg, rel. 16; 35.07 deg, rel. 17

Crystal structure
a b c (Å): 12.296 10.109 10.301
angles (deg): 90.00 121.61 90.00
Space group C2/c (No. 15)
Symmetry-distinct sites (fractional):
Li1 0.000 0.184 0.250 [4 per cell]
Sn1 0.180 0.452 0.109 [8 per cell]
P1 0.000 0.086 0.750 [4 per cell]
P2 0.117 0.239 0.605 [8 per cell]
O1 0.002 0.183 0.630 [8 per cell]
O2 0.050 0.269 0.437 [8 per cell]
O3 0.119 0.000 0.328 [8 per cell]
O4 0.168 0.364 0.707 [8 per cell]
O5 0.219 0.130 0.664 [8 per cell]

***

(4)
Theoretical powder XRD pattern of V3Cr3B8 for Cu Ka, from a structure optimized by DFT (GGA-PBE).
Lines closer than 0.1° are merged.

Most intense lines, 2θ from 10° to 80°, in order of rising 2θ:
30.78 deg, rel. 35; 36.73 deg, rel. 85; 41.43 deg, rel. 25; 45.39 deg, rel. 100; 46.19 deg, rel. 64; 58.44 deg, rel. 16; 73.43 deg, rel. 18; 74.59 deg, rel. 18

Crystal structure
a b c (Å): 2.956 2.979 13.076
angles (deg): 90.00 90.00 90.00
Space group Pmm2 (No. 25)
Symmetry-distinct sites (fractional):
V1 0.000 0.000 0.000 [1 per cell]
V2 0.000 0.500 0.312 [1 per cell]
V3 0.500 0.500 0.503 [1 per cell]
Cr1 0.000 0.500 0.688 [1 per cell]
Cr2 0.500 0.000 0.189 [1 per cell]
Cr3 0.500 0.000 0.814 [1 per cell]
B1 0.000 0.000 0.436 [1 per cell]
B2 0.000 0.000 0.570 [1 per cell]
B3 0.000 0.500 0.138 [1 per cell]
B4 0.000 0.500 0.861 [1 per cell]
B5 0.500 0.000 0.365 [1 per cell]
B6 0.500 0.000 0.642 [1 per cell]
B7 0.500 0.500 0.067 [1 per cell]
B8 0.500 0.500 0.934 [1 per cell]

***

(5)
Theoretical powder XRD pattern of V2Ni4Pt5 for Cu Ka, from a structure optimized by DFT (GGA-PBE).
Lines closer than 0.1° are merged.

Most intense lines, 2θ from 10° to 80°, in order of rising 2θ:
40.98 deg, rel. 100; 41.20 deg, rel. 99; 41.35 deg, rel. 98; 41.58 deg, rel. 93; 47.77 deg, rel. 64; 47.90 deg, rel. 64; 48.44 deg, rel. 61; 70.50 deg, rel. 60

Crystal structure
a b c (Å): 4.620 5.983 6.028
angles (deg): 106.89 97.88 105.42
Space group P-1 (No. 2)
Symmetry-distinct sites (fractional):
V1 0.045 0.189 0.400 [2 per cell]
Ni1 0.138 0.550 0.226 [2 per cell]
Ni2 0.316 0.268 0.856 [2 per cell]
Pt1 0.211 0.896 0.040 [2 per cell]
Pt2 0.396 0.620 0.678 [2 per cell]
Pt3 0.500 0.000 0.500 [1 per cell]

***

(6)
Theoretical powder XRD pattern of NbTcP for Cu Ka, from a structure optimized by DFT (GGA-PBE).
Lines closer than 0.1° are merged.

Most intense lines, 2θ from 10° to 80°, in order of rising 2θ:
12.95 deg, rel. 22; 32.20 deg, rel. 19; 33.35 deg, rel. 41; 38.44 deg, rel. 100; 39.56 deg, rel. 35; 41.55 deg, rel. 42; 45.01 deg, rel. 66; 58.71 deg, rel. 22

Crystal structure
a b c (Å): 3.043 4.347 6.834
angles (deg): 90.00 90.00 90.00
Space group Pmmn (No. 59, origin choice 2)
Symmetry-distinct sites (fractional):
Nb1 0.250 0.250 0.162 [2 per cell]
Tc1 0.250 0.750 0.462 [2 per cell]
P1 0.250 0.250 0.795 [2 per cell]